Diffraction record for Ti2H2O3. The X-ray diffraction stick pattern is calculated, not measured: it uses a cell relaxed with PBE and Cu Kα, 1.54184 Å.

Cell lengths 3.115, 3.115, 8.670 Å; angles 90.00, 90.00, 120.00 degrees
Sites, in units of the cell vectors:
Ti (0.333, 0.667, 0.125)
Ti (0.667, 0.333, 0.875)
H (0.333, 0.667, 0.625)
H (0.667, 0.333, 0.375)
O (0.000, 0.000, 0.000)
O (0.333, 0.667, 0.740)
O (0.667, 0.333, 0.260)

Most intense lines, 2θ = 10–80°, low angle first:
d 8.670, rel. 100; d 2.698, rel. 6; d 2.576, rel. 4; d 2.290, rel. 28; d 1.972, rel. 17; d 1.557, rel. 8; d 1.533, rel. 5; d 1.459, rel. 6; d 1.288, rel. 3; d 1.222, rel. 3

***

Diffraction record for Ho5Rh3. The X-ray diffraction stick pattern is calculated, not measured: it uses a cell relaxed with PBE and Cu Kα, 1.54184 Å.

Cell lengths 8.216, 8.216, 6.292 Å; angles 90.00, 90.00, 120.00 degrees
Sites, in units of the cell vectors:
Ho (0.000, 0.249, 0.250)
Ho (0.000, 0.751, 0.750)
Ho (0.249, 0.000, 0.250)
Ho (0.249, 0.249, 0.750)
Ho (0.333, 0.667, 0.000)
Ho (0.333, 0.667, 0.500)
Ho (0.667, 0.333, 0.000)
Ho (0.667, 0.333, 0.500)
Ho (0.751, 0.000, 0.750)
Ho (0.751, 0.751, 0.250)
Rh (0.000, 0.399, 0.750)
Rh (0.000, 0.601, 0.250)
Rh (0.399, 0.000, 0.750)
Rh (0.399, 0.399, 0.250)
Rh (0.601, 0.000, 0.250)
Rh (0.601, 0.601, 0.750)

Most intense lines, 2θ = 10–80°, low angle first:
d 3.146, rel. 17; d 2.877, rel. 24; d 2.689, rel. 35; d 2.498, rel. 92; d 2.473, rel. 100; d 2.372, rel. 44; d 1.720, rel. 20; d 1.654, rel. 29; d 1.548, rel. 19; d 1.311, rel. 13

***

Diffraction record for CeSiOs. The X-ray diffraction stick pattern is calculated, not measured: it uses a cell relaxed with PBE and Cu Kα, 1.54184 Å.

Cell lengths 4.208, 4.208, 6.807 Å; angles 90.00, 90.00, 90.00 degrees
Sites, in units of the cell vectors:
Ce (0.250, 0.250, 0.181)
Ce (0.750, 0.750, 0.819)
Si (0.250, 0.250, 0.689)
Si (0.750, 0.750, 0.311)
Os (0.250, 0.750, 0.500)
Os (0.750, 0.250, 0.500)

Most intense lines, 2θ = 10–80°, low angle first:
d 6.807, rel. 78; d 3.579, rel. 36; d 2.727, rel. 100; d 2.646, rel. 27; d 2.269, rel. 24; d 2.240, rel. 92; d 2.104, rel. 55; d 1.543, rel. 29; d 1.306, rel. 21; d 1.239, rel. 40

***

Diffraction record for MgSi2. The X-ray diffraction stick pattern is calculated, not measured: it uses a cell relaxed with PBE and Cu Kα, 1.54184 Å.

Cell lengths 3.774, 5.566, 11.725 Å; angles 103.05, 91.21, 108.75 degrees
Sites, in units of the cell vectors:
Mg (0.000, 0.000, 0.000)
Mg (0.057, 0.759, 0.268)
Mg (0.454, 0.564, 0.449)
Mg (0.612, 0.243, 0.788)
Si (0.151, 0.952, 0.534)
Si (0.285, 0.558, 0.947)
Si (0.326, 0.311, 0.219)
Si (0.538, 0.745, 0.788)
Si (0.727, 0.445, 0.052)
Si (0.757, 0.163, 0.314)
Si (0.783, 0.223, 0.530)
Si (0.993, 0.655, 0.660)

Most intense lines, 2θ = 10–80°, low angle first:
d 4.283, rel. 43; d 2.906, rel. 29; d 2.841, rel. 46; d 2.545, rel. 100; d 2.513, rel. 45; d 2.470, rel. 52; d 2.337, rel. 28; d 2.141, rel. 52; d 1.854, rel. 32; d 1.849, rel. 36

***

Diffraction record for LiIO. The X-ray diffraction stick pattern is calculated, not measured: it uses a cell relaxed with PBE and Cu Kα, 1.54184 Å.

Cell lengths 4.087, 4.087, 3.529 Å; angles 90.00, 90.00, 90.00 degrees
Sites, in units of the cell vectors:
Li (0.000, 0.000, 0.000)
I (0.500, 0.500, 0.000)
O (0.000, 0.000, 0.500)

Most intense lines, 2θ = 10–80°, low angle first:
d 4.087, rel. 84; d 3.529, rel. 36; d 2.890, rel. 72; d 2.671, rel. 100; d 2.236, rel. 42; d 2.044, rel. 26; d 1.828, rel. 19; d 1.768, rel. 21; d 1.623, rel. 41; d 1.506, rel. 19

***

Diffraction record for LiAs. The X-ray diffraction stick pattern is calculated, not measured: it uses a cell relaxed with PBE and Cu Kα, 1.54184 Å.

Cell lengths 5.825, 5.281, 10.776 Å; angles 90.00, 117.96, 90.00 degrees
Sites, in units of the cell vectors:
Li (0.229, 0.167, 0.052)
Li (0.229, 0.333, 0.552)
Li (0.236, 0.585, 0.829)
Li (0.236, 0.915, 0.329)
Li (0.764, 0.085, 0.671)
Li (0.764, 0.415, 0.171)
Li (0.771, 0.667, 0.448)
Li (0.771, 0.833, 0.948)
As (0.286, 0.666, 0.099)
As (0.286, 0.834, 0.599)
As (0.302, 0.078, 0.801)
As (0.302, 0.422, 0.301)
As (0.698, 0.578, 0.699)
As (0.698, 0.922, 0.199)
As (0.714, 0.166, 0.401)
As (0.714, 0.334, 0.901)

Most intense lines, 2θ = 10–80°, low angle first:
d 5.145, rel. 20; d 3.907, rel. 74; d 3.540, rel. 100; d 3.104, rel. 42; d 2.694, rel. 40; d 2.573, rel. 40; d 2.402, rel. 29; d 2.175, rel. 19; d 2.030, rel. 22; d 1.893, rel. 27

***

Diffraction record for ScB4Ru4. The X-ray diffraction stick pattern is calculated, not measured: it uses a cell relaxed with PBE and Cu Kα, 1.54184 Å.

Cell lengths 9.136, 9.136, 9.136 Å; angles 132.29, 132.29, 69.77 degrees
Sites, in units of the cell vectors:
Sc (0.125, 0.375, 0.750)
Sc (0.375, 0.125, 0.250)
Sc (0.625, 0.875, 0.750)
Sc (0.875, 0.625, 0.250)
B (0.071, 0.126, 0.284)
B (0.126, 0.342, 0.055)
B (0.158, 0.374, 0.445)
B (0.213, 0.929, 0.555)
B (0.287, 0.842, 0.716)
B (0.342, 0.787, 0.216)
B (0.374, 0.429, 0.216)
B (0.429, 0.713, 0.055)
B (0.571, 0.287, 0.945)
B (0.626, 0.571, 0.784)
B (0.658, 0.213, 0.784)
B (0.713, 0.158, 0.284)
B (0.787, 0.071, 0.445)
B (0.842, 0.626, 0.555)
B (0.874, 0.658, 0.945)
B (0.929, 0.874, 0.716)
Ru (0.033, 0.822, 0.981)
Ru (0.051, 0.033, 0.711)
Ru (0.160, 0.678, 0.711)
Ru (0.178, 0.660, 0.211)
Ru (0.322, 0.533, 0.481)
Ru (0.340, 0.051, 0.519)
Ru (0.449, 0.160, 0.981)
Ru (0.467, 0.449, 0.789)
Ru (0.533, 0.551, 0.211)
Ru (0.551, 0.840, 0.019)
Ru (0.660, 0.949, 0.481)
Ru (0.678, 0.467, 0.519)
Ru (0.822, 0.340, 0.789)
Ru (0.840, 0.322, 0.289)
Ru (0.949, 0.967, 0.289)
Ru (0.967, 0.178, 0.019)

Most intense lines, 2θ = 10–80°, low angle first:
d 4.286, rel. 34; d 2.756, rel. 100; d 2.254, rel. 25; d 2.231, rel. 67; d 2.220, rel. 61; d 2.031, rel. 20; d 1.874, rel. 17; d 1.847, rel. 24; d 1.323, rel. 12; d 1.316, rel. 23

***

Diffraction record for NaTaCl6. The X-ray diffraction stick pattern is calculated, not measured: it uses a cell relaxed with PBE and Cu Kα, 1.54184 Å.

Cell lengths 6.695, 7.103, 19.808 Å; angles 90.00, 90.66, 90.00 degrees
Sites, in units of the cell vectors:
Na (0.213, 0.189, 0.252)
Na (0.213, 0.311, 0.752)
Na (0.787, 0.689, 0.248)
Na (0.787, 0.811, 0.748)
Ta (0.257, 0.717, 0.617)
Ta (0.257, 0.783, 0.117)
Ta (0.743, 0.217, 0.883)
Ta (0.743, 0.283, 0.383)
Cl (0.032, 0.043, 0.842)
Cl (0.032, 0.457, 0.342)
Cl (0.084, 0.504, 0.158)
Cl (0.084, 0.996, 0.658)
Cl (0.117, 0.747, 0.012)
Cl (0.117, 0.753, 0.512)
Cl (0.384, 0.681, 0.735)
Cl (0.384, 0.819, 0.235)
Cl (0.406, 0.068, 0.092)
Cl (0.406, 0.432, 0.592)
Cl (0.463, 0.105, 0.405)
Cl (0.463, 0.395, 0.905)
Cl (0.537, 0.605, 0.095)
Cl (0.537, 0.895, 0.595)
Cl (0.594, 0.568, 0.408)
Cl (0.594, 0.932, 0.908)
Cl (0.616, 0.181, 0.765)
Cl (0.616, 0.319, 0.265)
Cl (0.883, 0.247, 0.488)
Cl (0.883, 0.253, 0.988)
Cl (0.916, 0.004, 0.342)
Cl (0.916, 0.496, 0.842)
Cl (0.968, 0.543, 0.658)
Cl (0.968, 0.957, 0.158)

Most intense lines, 2θ = 10–80°, low angle first:
d 5.772, rel. 100; d 5.576, rel. 45; d 5.517, rel. 49; d 4.952, rel. 28; d 4.872, rel. 55; d 2.995, rel. 40; d 2.947, rel. 25; d 2.904, rel. 26; d 2.436, rel. 18; d 2.219, rel. 16

***

Diffraction record for Np2Si3. The X-ray diffraction stick pattern is calculated, not measured: it uses a cell relaxed with PBE and Cu Kα, 1.54184 Å.

Cell lengths 4.222, 4.222, 6.410 Å; angles 90.00, 90.00, 120.00 degrees
Sites, in units of the cell vectors:
Np (0.000, 0.000, 0.227)
Np (0.000, 0.000, 0.773)
Si (0.333, 0.667, 0.500)
Si (0.667, 0.333, 0.000)
Si (0.667, 0.333, 0.500)

Most intense lines, 2θ = 10–80°, low angle first:
d 3.656, rel. 100; d 3.205, rel. 17; d 2.410, rel. 92; d 2.111, rel. 40; d 1.828, rel. 15; d 1.763, rel. 20; d 1.588, rel. 26; d 1.382, rel. 13; d 1.276, rel. 12; d 1.269, rel. 25

***

Diffraction record for Nd3SiAgSe7. The X-ray diffraction stick pattern is calculated, not measured: it uses a cell relaxed with PBE and Cu Kα, 1.54184 Å.

Cell lengths 10.766, 10.766, 6.076 Å; angles 90.00, 90.00, 120.00 degrees
Sites, in units of the cell vectors:
Nd (0.126, 0.769, 0.000)
Nd (0.231, 0.357, 0.000)
Nd (0.357, 0.126, 0.500)
Nd (0.643, 0.874, 0.000)
Nd (0.769, 0.643, 0.500)
Nd (0.874, 0.231, 0.500)
Si (0.333, 0.667, 0.410)
Si (0.667, 0.333, 0.910)
Ag (0.000, 0.000, 0.050)
Ag (0.000, 0.000, 0.550)
Se (0.096, 0.825, 0.517)
Se (0.109, 0.522, 0.259)
Se (0.175, 0.271, 0.517)
Se (0.271, 0.096, 0.017)
Se (0.333, 0.667, 0.784)
Se (0.413, 0.891, 0.259)
Se (0.478, 0.587, 0.259)
Se (0.522, 0.413, 0.759)
Se (0.587, 0.109, 0.759)
Se (0.667, 0.333, 0.284)
Se (0.729, 0.904, 0.517)
Se (0.825, 0.729, 0.017)
Se (0.891, 0.478, 0.759)
Se (0.904, 0.175, 0.017)

Most intense lines, 2θ = 10–80°, low angle first:
d 3.048, rel. 59; d 2.888, rel. 71; d 2.767, rel. 47; d 2.692, rel. 73; d 2.586, rel. 100; d 2.545, rel. 33; d 2.379, rel. 41; d 2.301, rel. 75; d 2.016, rel. 47; d 1.969, rel. 35